This entry pairs a crystal structure of Ca6Si2Sn with its computed powder diffraction line list. Radiation: Cu Kα. Structure: the PBE geometry in Alexandria.

Structural model:
Cell: 8.843 8.843 8.843 Å, 112.62 111.22 104.68°
Fractional coordinates of all 18 atoms:
1 Ca 0.040 0.243 0.797
2 Ca 0.184 0.279 0.463
3 Ca 0.184 0.721 0.905
4 Ca 0.328 0.019 0.691
5 Ca 0.328 0.637 0.309
6 Ca 0.446 0.243 0.203
7 Ca 0.554 0.757 0.797
8 Ca 0.672 0.363 0.691
9 Ca 0.672 0.981 0.309
10 Ca 0.816 0.279 0.095
11 Ca 0.816 0.721 0.537
12 Ca 0.960 0.757 0.203
13 Si 0.113 0.613 0.500
14 Si 0.348 0.000 0.348
15 Si 0.652 0.000 0.652
16 Si 0.887 0.387 0.500
17 Sn 0.000 0.000 0.000
18 Sn 0.500 0.500 0.000

Principal peaks in the range 10 to 80 degrees two-theta, in order of rising 2θ:
2theta	intensity
18.1	175
20.8	236
28.7	289
30.4	1000
32.1	193
32.9	627
33.2	203
33.6	232
35.6	227
36.6	222
44.4	189
57.1	211